[1]
This entry pairs a crystal structure of LiPrO3 with its simulated PXRD pattern. Radiation: a wavelength of 1.5418 Å. Structure: a PBE-relaxed structure.

Structure:
```
LiPrO3
1.0
3.791 0.000 0.000
0.000 3.791 0.000
0.000 0.000 3.791
Li Pr O
1 1 3
Direct
0.000 0.000 0.000 Li
0.500 0.500 0.500 Pr
0.000 0.000 0.500 O
0.000 0.500 0.000 O
0.500 0.000 0.000 O
```

Top 8 peaks for 2θ = 10–90°, in order of rising 2θ:
3.791 Å, rel. 100.0
2.681 Å, rel. 97.6
2.189 Å, rel. 73.2
1.895 Å, rel. 38.3
1.695 Å, rel. 44.1
1.548 Å, rel. 38.8
1.340 Å, rel. 22.4
1.143 Å, rel. 23.6

***

[2]
This entry pairs a crystal structure of LiPrO2 with its simulated PXRD pattern. Radiation: a wavelength of 1.5418 Å. Structure: a PBE-relaxed structure.

Structure:
```
LiPrO2
1.0
5.850 0.000 0.000
0.000 6.175 0.000
-1.261 0.000 5.727
Li Pr O
4 4 8
Direct
0.166 0.140 0.187 Li
0.166 0.360 0.687 Li
0.834 0.640 0.313 Li
0.834 0.860 0.813 Li
0.298 0.571 0.198 Pr
0.298 0.929 0.698 Pr
0.702 0.071 0.302 Pr
0.702 0.429 0.802 Pr
0.073 0.633 0.798 O
0.073 0.867 0.298 O
0.411 0.239 0.984 O
0.411 0.261 0.484 O
0.589 0.739 0.516 O
0.589 0.761 0.016 O
0.927 0.133 0.702 O
0.927 0.367 0.202 O
```

Top 8 peaks for 2θ = 10–90°, in order of rising 2θ:
4.196 Å, rel. 62.3
3.671 Å, rel. 100.0
3.155 Å, rel. 94.0
2.861 Å, rel. 61.1
2.718 Å, rel. 40.7
2.557 Å, rel. 80.2
1.936 Å, rel. 34.6
1.642 Å, rel. 31.8

***

[3]
This entry pairs a crystal structure of Rb2Li14Pr3O14 with its simulated PXRD pattern. Radiation: a wavelength of 1.5418 Å. Structure: a PBE-relaxed structure.

Structure:
```
Rb2Li14Pr3O14
1.0
-3.748 4.190 6.849
3.748 -4.190 6.849
3.748 4.190 -6.849
Rb Li Pr O
2 14 3 14
Direct
0.000 0.238 0.238 Rb
0.000 0.762 0.762 Rb
0.086 0.231 0.854 Li
0.213 0.145 0.624 Li
0.213 0.589 0.068 Li
0.341 0.500 0.841 Li
0.377 0.231 0.146 Li
0.479 0.411 0.624 Li
0.479 0.855 0.068 Li
0.521 0.145 0.932 Li
0.521 0.589 0.376 Li
0.623 0.769 0.854 Li
0.659 0.500 0.159 Li
0.787 0.411 0.932 Li
0.787 0.855 0.376 Li
0.914 0.769 0.146 Li
0.228 0.728 0.500 Pr
0.500 0.000 0.500 Pr
0.772 0.272 0.500 Pr
0.098 0.376 0.722 O
0.178 0.868 0.310 O
0.259 0.064 0.805 O
0.259 0.454 0.195 O
0.347 0.624 0.722 O
0.442 0.132 0.310 O
0.500 0.306 0.806 O
0.500 0.694 0.194 O
0.558 0.868 0.690 O
0.653 0.376 0.278 O
0.741 0.546 0.805 O
0.741 0.936 0.195 O
0.822 0.132 0.690 O
0.902 0.624 0.278 O
```

Top 8 peaks for 2θ = 10–90°, in order of rising 2θ:
5.586 Å, rel. 100.0
4.190 Å, rel. 53.3
3.425 Å, rel. 26.5
3.319 Å, rel. 22.3
2.738 Å, rel. 42.1
2.652 Å, rel. 62.1
2.394 Å, rel. 26.1
1.636 Å, rel. 26.5

***

[4]
This entry pairs a crystal structure of LiPr2RuO6 with its simulated PXRD pattern. Radiation: a wavelength of 1.5418 Å. Structure: a PBE-relaxed structure.

Structure:
```
LiPr2RuO6
1.0
5.511 0.000 0.000
0.000 5.802 0.000
-5.446 0.000 7.831
Li Pr Ru O
2 4 2 12
Direct
0.000 0.000 0.000 Li
0.000 0.500 0.500 Li
0.234 0.067 0.749 Pr
0.234 0.433 0.249 Pr
0.766 0.567 0.751 Pr
0.766 0.933 0.251 Pr
0.500 0.000 0.500 Ru
0.500 0.500 0.000 Ru
0.161 0.189 0.453 O
0.161 0.311 0.953 O
0.264 0.713 0.450 O
0.264 0.787 0.950 O
0.350 0.026 0.256 O
0.350 0.474 0.756 O
0.650 0.526 0.244 O
0.650 0.974 0.744 O
0.736 0.213 0.050 O
0.736 0.287 0.550 O
0.839 0.689 0.047 O
0.839 0.811 0.547 O
```

Top 8 peaks for 2θ = 10–90°, in order of rising 2θ:
4.662 Å, rel. 38.0
2.901 Å, rel. 37.7
2.805 Å, rel. 99.8
2.788 Å, rel. 100.0
2.756 Å, rel. 52.1
1.998 Å, rel. 40.1
1.777 Å, rel. 39.2
1.603 Å, rel. 35.3